The following is a simulated XRD peak list of Li4Ti2Mn3Nb3O16. It was derived from the GGA+U geometry in the Materials Project, using Cu Kα, 1.54184 Å.
No peak broadening, texture or thermal motion is included.

Cell and atoms:
Cell lengths 10.867, 6.071, 9.896 Å; angles 90.00, 92.08, 90.00 degrees
Space group Cm (No. 8)
Unique sites:
Li 0.000 0.000 0.000 [2 per cell]
Li 0.005 0.000 0.512 [2 per cell]
Li 0.171 0.500 0.912 [2 per cell]
Li 0.338 0.000 0.418 [2 per cell]
Ti 0.178 0.500 0.519 [2 per cell]
Ti 0.366 0.000 0.994 [2 per cell]
Mn 0.338 0.500 0.221 [2 per cell]
Mn 0.426 0.246 0.718 [4 per cell]
Nb 0.096 0.252 0.233 [4 per cell]
Nb 0.185 0.000 0.742 [2 per cell]
O 0.007 0.000 0.329 [2 per cell]
O 0.018 0.000 0.816 [2 per cell]
O 0.022 0.500 0.356 [2 per cell]
O 0.104 0.255 0.608 [4 per cell]
O 0.165 0.500 0.113 [2 per cell]
O 0.166 0.000 0.115 [2 per cell]
O 0.236 0.273 0.358 [4 per cell]
O 0.260 0.216 0.866 [4 per cell]
O 0.323 0.000 0.617 [2 per cell]
O 0.334 0.500 0.595 [2 per cell]
O 0.431 0.239 0.106 [4 per cell]
O 0.484 0.000 0.870 [2 per cell]

Most intense lines, 2θ = 15–90°, sorted by position:
h k l  two_theta  I_rel
0 0 2  17.94  1000
2 0 -1  18.35  351
1 1 -1  18.87  539
4 0 1  34.56  345
2 2 1  35.22  331
2 2 -3  43.44  318



The following is a simulated XRD peak list of Li4Ti3Mn2Nb3O16. It was derived from the GGA+U geometry in the Materials Project, using Cu Kα, 1.54184 Å.
No peak broadening, texture or thermal motion is included.

Cell and atoms:
Cell lengths 10.589, 6.028, 10.130 Å; angles 90.00, 90.36, 90.00 degrees
Space group Cm (No. 8)
Unique sites:
Li 0.000 0.000 0.000 [2 per cell]
Li 0.002 0.000 0.501 [2 per cell]
Li 0.175 0.500 0.392 [2 per cell]
Li 0.340 0.000 0.899 [2 per cell]
Ti 0.343 0.500 0.725 [2 per cell]
Ti 0.423 0.247 0.219 [4 per cell]
Mn 0.174 0.500 0.004 [2 per cell]
Mn 0.335 0.000 0.499 [2 per cell]
Nb 0.090 0.271 0.714 [4 per cell]
Nb 0.176 0.000 0.218 [2 per cell]
O 0.003 0.000 0.819 [2 per cell]
O 0.005 0.000 0.320 [2 per cell]
O 0.022 0.500 0.851 [2 per cell]
O 0.082 0.233 0.109 [4 per cell]
O 0.160 0.000 0.602 [2 per cell]
O 0.192 0.500 0.600 [2 per cell]
O 0.251 0.276 0.828 [4 per cell]
O 0.267 0.228 0.331 [4 per cell]
O 0.341 0.000 0.109 [2 per cell]
O 0.352 0.500 0.113 [2 per cell]
O 0.429 0.263 0.610 [4 per cell]
O 0.489 0.000 0.327 [2 per cell]

Most intense lines, 2θ = 15–90°, sorted by position:
h k l  two_theta  I_rel
0 0 2  17.51  1000
2 0 -1  18.89  319
1 1 -1  19.07  668
2 0 3  31.52  377
2 2 -1  35.40  548
4 0 3  43.64  322



The following is a simulated XRD peak list of Li4Ti3Mn3Nb2O16. It was derived from the GGA+U geometry in the Materials Project, using Cu Kα, 1.54184 Å.
No peak broadening, texture or thermal motion is included.

Cell and atoms:
Cell lengths 10.686, 6.053, 9.927 Å; angles 90.00, 91.09, 90.00 degrees
Space group Cm (No. 8)
Unique sites:
Li 0.000 0.000 0.000 [2 per cell]
Li 0.005 0.000 0.506 [2 per cell]
Li 0.180 0.500 0.085 [2 per cell]
Li 0.346 0.000 0.587 [2 per cell]
Ti 0.329 0.500 0.757 [2 per cell]
Ti 0.413 0.249 0.273 [4 per cell]
Mn 0.092 0.253 0.787 [4 per cell]
Mn 0.174 0.000 0.282 [2 per cell]
Nb 0.157 0.500 0.504 [2 per cell]
Nb 0.342 0.000 0.995 [2 per cell]
O 0.030 0.500 0.635 [2 per cell]
O 0.086 0.255 0.401 [4 per cell]
O 0.176 0.000 0.921 [2 per cell]
O 0.195 0.500 0.884 [2 per cell]
O 0.259 0.284 0.641 [4 per cell]
O 0.278 0.231 0.154 [4 per cell]
O 0.344 0.500 0.387 [2 per cell]
O 0.357 0.000 0.384 [2 per cell]
O 0.416 0.245 0.904 [4 per cell]
O 0.487 0.000 0.159 [2 per cell]
O 0.496 0.500 0.693 [2 per cell]
O 0.497 0.500 0.188 [2 per cell]

Most intense lines, 2θ = 15–90°, sorted by position:
h k l  two_theta  I_rel
2 0 -1  18.71  388
2 0 1  19.01  1000
1 1 1  19.15  661
2 0 3  32.09  443
3 1 -2  34.08  420
3 1 2  34.61  426



The following is a simulated XRD peak list of Li4Mn2Nb3V3O16. It was derived from the GGA+U geometry in the Materials Project, using Cu Kα, 1.54184 Å.
No peak broadening, texture or thermal motion is included.

Cell and atoms:
Cell lengths 10.574, 6.108, 10.071 Å; angles 90.00, 90.07, 90.00 degrees
Space group Cm (No. 8)
Unique sites:
Li 0.000 0.000 0.000 [2 per cell]
Li 0.004 0.000 0.512 [2 per cell]
Li 0.174 0.500 0.892 [2 per cell]
Li 0.343 0.000 0.410 [2 per cell]
Mn 0.182 0.500 0.521 [2 per cell]
Mn 0.350 0.000 0.994 [2 per cell]
Nb 0.096 0.252 0.224 [4 per cell]
Nb 0.179 0.000 0.726 [2 per cell]
V 0.341 0.500 0.222 [2 per cell]
V 0.426 0.242 0.721 [4 per cell]
O 0.012 0.000 0.328 [2 per cell]
O 0.013 0.000 0.822 [2 per cell]
O 0.024 0.500 0.336 [2 per cell]
O 0.087 0.234 0.612 [4 per cell]
O 0.165 0.000 0.110 [2 per cell]
O 0.170 0.500 0.109 [2 per cell]
O 0.249 0.270 0.335 [4 per cell]
O 0.265 0.226 0.839 [4 per cell]
O 0.333 0.000 0.607 [2 per cell]
O 0.356 0.500 0.621 [2 per cell]
O 0.433 0.267 0.117 [4 per cell]
O 0.491 0.000 0.836 [2 per cell]

Most intense lines, 2θ = 15–90°, sorted by position:
h k l  two_theta  I_rel
0 0 2  17.61  1000
2 0 -1  18.95  890
3 1 2  34.35  529
4 0 1  35.09  725
2 2 -3  43.57  626
2 2 -5  57.52  501



The following is a simulated XRD peak list of Li4MnNbW2O12. It was derived from the GGA+U geometry in the Materials Project, using Cu Kα, 1.54184 Å.
No peak broadening, texture or thermal motion is included.

Cell and atoms:
Cell lengths 5.137, 5.442, 7.703 Å; angles 94.67, 90.72, 90.13 degrees
Space group P1 (No. 1)
Unique sites:
Li 0.000 0.000 0.000 [1 per cell]
Li 0.003 0.031 0.457 [1 per cell]
Li 0.502 0.474 0.002 [1 per cell]
Li 0.507 0.470 0.473 [1 per cell]
Mn 0.504 0.060 0.199 [1 per cell]
Nb 0.003 0.551 0.719 [1 per cell]
W 0.012 0.566 0.213 [1 per cell]
W 0.500 0.048 0.697 [1 per cell]
O 0.126 0.583 0.445 [1 per cell]
O 0.186 0.892 0.758 [1 per cell]
O 0.201 0.272 0.135 [1 per cell]
O 0.303 0.761 0.134 [1 per cell]
O 0.325 0.391 0.758 [1 per cell]
O 0.379 0.098 0.467 [1 per cell]
O 0.635 0.087 0.925 [1 per cell]
O 0.686 0.759 0.627 [1 per cell]
O 0.701 0.379 0.247 [1 per cell]
O 0.811 0.262 0.626 [1 per cell]
O 0.820 0.876 0.244 [1 per cell]
O 0.881 0.574 0.950 [1 per cell]

Most intense lines, 2θ = 15–90°, sorted by position:
h k l  two_theta  I_rel
0 0 2  23.17  536
1 -1 0  23.86  1000
1 1 -2  32.39  211
1 -1 2  32.66  198
0 2 0  33.03  192
-1 1 2  34.27  142



The following is a simulated XRD peak list of Li2MnNiO4. It was derived from the GGA+U geometry in the Materials Project, using Cu Kα, 1.54184 Å.
No peak broadening, texture or thermal motion is included.

Cell and atoms:
Cell lengths 4.053, 4.053, 8.621 Å; angles 90.00, 90.00, 90.00 degrees
Space group I-4m2 (No. 119)
Unique sites:
Li 0.000 0.000 0.000 [2 per cell]
Li 0.000 0.500 0.250 [2 per cell]
Mn 0.000 0.500 0.750 [2 per cell]
Ni 0.000 0.000 0.500 [2 per cell]
O 0.000 0.000 0.261 [4 per cell]
O 0.000 0.500 0.526 [4 per cell]

Most intense lines, 2θ = 15–90°, sorted by position:
h k l  two_theta  I_rel
1 0 1  24.27  1000
1 1 2  37.69  199
0 0 4  41.91  275
2 0 0  44.72  483
2 1 1  51.52  227
2 0 4  62.95  276